Diffraction record for Li5Ni2O2F5. The powder diffractogram is calculated, not measured: it uses a structure optimized by DFT (PBE+U) and Cu Kα, 1.54184 Å.
Kinematic intensities with the Lorentz-polarization factor, no thermal factor.

Main lines, by intensity (15 to 90 degrees two-theta):
hkl 1 1 0, 2θ = 43.65°, rel. 100; hkl 1 0 5, 2θ = 34.29°, rel. 59; hkl 1 1 14, 2θ = 63.62°, rel. 53; hkl 0 0 14, 2θ = 43.88°, rel. 48; hkl 1 0 9, 2θ = 41.72°, rel. 45; hkl 1 0 3, 2θ = 31.90°, rel. 37

```
data_Li5Ni2O2F5
_chemical_formula_sum 'Li10 Ni4 O4 F10'
_cell_length_a 2.933
_cell_length_b 2.933
_cell_length_c 28.884
_cell_angle_alpha 90.00
_cell_angle_beta 90.00
_cell_angle_gamma 90.00
_space_group_name_H-M_alt 'I 4/m m m'
_space_group_IT_number 139
_space_group_name_Hall '-I 4 2'
loop_
_atom_site_label
_atom_site_type_symbol
_atom_site_fract_x
_atom_site_fract_y
_atom_site_fract_z
Li1 Li 0.000 0.000 0.000
Li2 Li 0.000 0.000 0.141
Li3 Li 0.000 0.000 0.431
Ni1 Ni 0.000 0.000 0.286
O1 O 0.000 0.000 0.213
F1 F 0.000 0.000 0.070
F2 F 0.000 0.000 0.361
F3 F 0.000 0.000 0.500
```